# 1
For TmTa2S5, DFT lattice parameters and positions (GGA-PBE) gives the simulated PXRD pattern in this record (Cu Kα, 1.54184 Å).
No peak broadening, texture or thermal motion is included.

Structural model:
Cell: 6.962 6.962 16.082 Å, 90.00 90.00 150.84°
Element x y z (fractional)
Tm 0.134 0.866 0.750
Tm 0.866 0.134 0.250
Ta 0.290 0.710 0.069
Ta 0.290 0.710 0.431
Ta 0.710 0.290 0.569
Ta 0.710 0.290 0.931
S 0.078 0.922 0.598
S 0.078 0.922 0.902
S 0.236 0.764 0.250
S 0.338 0.662 0.576
S 0.338 0.662 0.924
S 0.662 0.338 0.076
S 0.662 0.338 0.424
S 0.764 0.236 0.750
S 0.922 0.078 0.098
S 0.922 0.078 0.402

Principal peaks in the range 10° ≤ 2θ ≤ 80°, sorted by position:
- d = 6.737 Å, I = 100.0
- d = 6.214 Å, I = 74.2
- d = 2.867 Å, I = 46.1
- d = 2.724 Å, I = 27.7
- d = 2.680 Å, I = 33.5
- d = 2.613 Å, I = 37.5

# 2
For YTaS4, DFT lattice parameters and positions (GGA-PBE) gives the simulated PXRD pattern in this record (Cu Kα, 1.54184 Å).
No peak broadening, texture or thermal motion is included.

Structural model:
Cell: 3.570 17.456 6.328 Å, 90.00 90.00 90.00°
Element x y z (fractional)
Y 0.000 0.000 0.000
Y 0.500 0.500 0.000
Ta 0.000 0.500 0.485
Ta 0.500 0.000 0.485
S 0.000 0.087 0.635
S 0.000 0.408 0.199
S 0.000 0.592 0.199
S 0.000 0.913 0.635
S 0.500 0.092 0.199
S 0.500 0.413 0.635
S 0.500 0.587 0.635
S 0.500 0.908 0.199

Principal peaks in the range 10° ≤ 2θ ≤ 80°, sorted by position:
- d = 8.728 Å, I = 100.0
- d = 3.061 Å, I = 18.1
- d = 2.742 Å, I = 17.4
- d = 2.562 Å, I = 9.9
- d = 2.322 Å, I = 16.6
- d = 1.945 Å, I = 8.6

# 3
For YTaS4, DFT lattice parameters and positions (GGA-PBE) gives the simulated PXRD pattern in this record (Cu Kα, 1.54184 Å).
No peak broadening, texture or thermal motion is included.

Structural model:
Cell: 3.567 12.973 6.334 Å, 90.00 90.00 90.00°
Element x y z (fractional)
Y 0.000 0.000 0.000
Y 0.000 0.500 0.500
Ta 0.500 0.000 0.485
Ta 0.500 0.500 0.985
S 0.000 0.118 0.635
S 0.000 0.382 0.135
S 0.000 0.618 0.135
S 0.000 0.882 0.635
S 0.500 0.124 0.200
S 0.500 0.376 0.700
S 0.500 0.624 0.700
S 0.500 0.876 0.200

Principal peaks in the range 10° ≤ 2θ ≤ 80°, sorted by position:
- d = 6.487 Å, I = 100.0
- d = 3.023 Å, I = 49.0
- d = 2.846 Å, I = 25.3
- d = 2.524 Å, I = 50.5
- d = 2.266 Å, I = 23.3
- d = 1.992 Å, I = 26.9

# 4
For Tb5S7, DFT lattice parameters and positions (GGA-PBE) gives the simulated PXRD pattern in this record (Cu Kα, 1.54184 Å).
No peak broadening, texture or thermal motion is included.

Structural model:
Cell: 6.728 6.728 11.647 Å, 103.98 103.98 33.02°
Element x y z (fractional)
Tb 0.000 0.000 0.000
Tb 0.112 0.112 0.421
Tb 0.301 0.301 0.188
Tb 0.699 0.699 0.812
Tb 0.888 0.888 0.579
S 0.041 0.041 0.785
S 0.259 0.259 0.648
S 0.341 0.341 0.949
S 0.500 0.500 0.500
S 0.659 0.659 0.051
S 0.741 0.741 0.352
S 0.959 0.959 0.215

Principal peaks in the range 10° ≤ 2θ ≤ 80°, sorted by position:
- d = 3.741 Å, I = 83.6
- d = 3.652 Å, I = 100.0
- d = 3.224 Å, I = 38.1
- d = 2.849 Å, I = 39.3
- d = 2.710 Å, I = 47.8
- d = 2.629 Å, I = 36.8

# 5
For TbTl2S3, DFT lattice parameters and positions (GGA-PBE) gives the simulated PXRD pattern in this record (Cu Kα, 1.54184 Å).
No peak broadening, texture or thermal motion is included.

Structural model:
Cell: 7.409 4.049 10.598 Å, 90.00 91.02 90.00°
Element x y z (fractional)
Tb 0.081 0.250 0.161
Tb 0.919 0.750 0.839
Tl 0.251 0.750 0.496
Tl 0.420 0.250 0.830
Tl 0.580 0.750 0.170
Tl 0.749 0.250 0.504
S 0.067 0.250 0.702
S 0.215 0.750 0.006
S 0.394 0.250 0.306
S 0.606 0.750 0.694
S 0.785 0.250 0.994
S 0.933 0.750 0.298

Principal peaks in the range 10° ≤ 2θ ≤ 80°, sorted by position:
- d = 3.532 Å, I = 39.4
- d = 3.516 Å, I = 38.4
- d = 3.360 Å, I = 67.4
- d = 3.011 Å, I = 51.8
- d = 2.963 Å, I = 100.0
- d = 2.108 Å, I = 37.6

# 6
For TbTlZnS3, DFT lattice parameters and positions (GGA-PBE) gives the simulated PXRD pattern in this record (Cu Kα, 1.54184 Å).
No peak broadening, texture or thermal motion is included.

Structural model:
Cell: 7.417 7.417 10.592 Å, 90.00 90.00 148.87°
Element x y z (fractional)
Tb 0.000 0.000 0.000
Tb 0.000 0.000 0.500
Tl 0.253 0.747 0.750
Tl 0.747 0.253 0.250
Zn 0.461 0.539 0.250
Zn 0.539 0.461 0.750
S 0.060 0.940 0.250
S 0.375 0.625 0.064
S 0.375 0.625 0.436
S 0.625 0.375 0.564
S 0.625 0.375 0.936
S 0.940 0.060 0.750

Principal peaks in the range 10° ≤ 2θ ≤ 80°, sorted by position:
- d = 4.255 Å, I = 100.0
- d = 3.606 Å, I = 41.7
- d = 3.572 Å, I = 49.7
- d = 2.935 Å, I = 97.7
- d = 2.647 Å, I = 84.0
- d = 2.127 Å, I = 63.3

# 7
For Tb2TmS3, DFT lattice parameters and positions (GGA-PBE) gives the simulated PXRD pattern in this record (Cu Kα, 1.54184 Å).
No peak broadening, texture or thermal motion is included.

Structural model:
Cell: 3.889 3.889 9.556 Å, 90.00 90.00 120.00°
Element x y z (fractional)
Tb 0.333 0.667 0.168
Tb 0.667 0.333 0.832
Tm 0.000 0.000 0.500
S 0.000 0.000 0.000
S 0.333 0.667 0.660
S 0.667 0.333 0.340

Principal peaks in the range 10° ≤ 2θ ≤ 80°, sorted by position:
- d = 3.179 Å, I = 82.8
- d = 2.753 Å, I = 100.0
- d = 1.947 Å, I = 71.9
- d = 1.661 Å, I = 30.3
- d = 1.588 Å, I = 18.6
- d = 1.230 Å, I = 16.0

# 8
For TbY2S3, DFT lattice parameters and positions (GGA-PBE) gives the simulated PXRD pattern in this record (Cu Kα, 1.54184 Å).
No peak broadening, texture or thermal motion is included.

Structural model:
Cell: 3.909 3.909 9.626 Å, 90.00 90.00 120.00°
Element x y z (fractional)
Tb 0.000 0.000 0.000
Y 0.333 0.667 0.667
Y 0.667 0.333 0.333
S 0.000 0.000 0.500
S 0.333 0.667 0.167
S 0.667 0.333 0.833

Principal peaks in the range 10° ≤ 2θ ≤ 80°, sorted by position:
- d = 3.193 Å, I = 44.7
- d = 2.769 Å, I = 100.0
- d = 1.961 Å, I = 35.4
- d = 1.954 Å, I = 34.2
- d = 1.668 Å, I = 20.5
- d = 1.597 Å, I = 18.0

# 9
For Tl2TcS3, DFT lattice parameters and positions (GGA-PBE) gives the simulated PXRD pattern in this record (Cu Kα, 1.54184 Å).
No peak broadening, texture or thermal motion is included.

Structural model:
Cell: 7.643 3.645 10.219 Å, 90.00 97.84 90.00°
Element x y z (fractional)
Tl 0.072 0.250 0.158
Tl 0.253 0.750 0.504
Tl 0.747 0.250 0.496
Tl 0.928 0.750 0.842
Tc 0.419 0.250 0.843
Tc 0.581 0.750 0.157
S 0.145 0.250 0.702
S 0.324 0.750 0.981
S 0.456 0.250 0.274
S 0.544 0.750 0.726
S 0.676 0.250 0.019
S 0.855 0.750 0.298

Principal peaks in the range 10° ≤ 2θ ≤ 80°, sorted by position:
- d = 3.716 Å, I = 55.4
- d = 3.375 Å, I = 41.7
- d = 3.071 Å, I = 60.5
- d = 2.851 Å, I = 48.2
- d = 2.833 Å, I = 100.0
- d = 2.075 Å, I = 38.0

# 10
For Th2S5, DFT lattice parameters and positions (GGA-PBE) gives the simulated PXRD pattern in this record (Cu Kα, 1.54184 Å).
No peak broadening, texture or thermal motion is included.

Structural model:
Cell: 7.609 10.246 7.636 Å, 90.00 90.00 90.00°
Element x y z (fractional)
Th 0.234 0.146 0.017
Th 0.234 0.854 0.517
Th 0.266 0.354 0.517
Th 0.266 0.646 0.017
Th 0.734 0.354 0.983
Th 0.734 0.646 0.483
Th 0.766 0.146 0.483
Th 0.766 0.854 0.983
S 0.000 0.249 0.750
S 0.000 0.751 0.250
S 0.100 0.398 0.149
S 0.100 0.602 0.649
S 0.137 0.108 0.388
S 0.137 0.892 0.888
S 0.363 0.392 0.888
S 0.363 0.608 0.388
S 0.400 0.102 0.649
S 0.400 0.898 0.149
S 0.500 0.251 0.250
S 0.500 0.749 0.750
S 0.600 0.102 0.851
S 0.600 0.898 0.351
S 0.637 0.392 0.612
S 0.637 0.608 0.112
S 0.863 0.108 0.112
S 0.863 0.892 0.612
S 0.900 0.398 0.351
S 0.900 0.602 0.851

Principal peaks in the range 10° ≤ 2θ ≤ 80°, sorted by position:
- d = 3.811 Å, I = 61.9
- d = 3.713 Å, I = 100.0
- d = 2.695 Å, I = 36.9
- d = 2.184 Å, I = 40.5
- d = 2.178 Å, I = 41.0
- d = 2.126 Å, I = 28.2

# 11
For Tl3WS4, DFT lattice parameters and positions (GGA-PBE) gives the simulated PXRD pattern in this record (Cu Kα, 1.54184 Å).
No peak broadening, texture or thermal motion is included.

Structural model:
Cell: 6.425 6.560 11.978 Å, 95.77 98.87 106.03°
Element x y z (fractional)
Tl 0.000 0.000 0.000
Tl 0.025 0.979 0.477
Tl 0.261 0.674 0.199
Tl 0.326 0.796 0.775
Tl 0.551 0.483 0.497
Tl 0.589 0.474 0.977
W 0.729 0.208 0.242
W 0.857 0.263 0.733
S 0.009 0.427 0.597
S 0.043 0.431 0.909
S 0.077 0.198 0.258
S 0.509 0.274 0.719
S 0.546 0.043 0.067
S 0.574 0.042 0.378
S 0.729 0.551 0.256
S 0.856 0.920 0.720

Principal peaks in the range 10° ≤ 2θ ≤ 80°, sorted by position:
- d = 3.953 Å, I = 51.1
- d = 3.812 Å, I = 100.0
- d = 2.941 Å, I = 34.3
- d = 2.927 Å, I = 54.0
- d = 2.603 Å, I = 24.5
- d = 2.592 Å, I = 41.8

# 12
For ZrTlS2, DFT lattice parameters and positions (GGA-PBE) gives the simulated PXRD pattern in this record (Cu Kα, 1.54184 Å).
No peak broadening, texture or thermal motion is included.

Structural model:
Cell: 3.642 3.642 8.249 Å, 90.00 90.00 120.00°
Element x y z (fractional)
Zr 0.000 0.000 0.000
Tl 0.000 0.000 0.500
S 0.333 0.667 0.815
S 0.667 0.333 0.185

Principal peaks in the range 10° ≤ 2θ ≤ 80°, sorted by position:
- d = 4.125 Å, I = 35.7
- d = 3.154 Å, I = 61.5
- d = 2.946 Å, I = 26.1
- d = 2.506 Å, I = 100.0
- d = 1.821 Å, I = 24.1
- d = 1.726 Å, I = 28.9